(1)
For Pm8GeSb5, DFT lattice parameters and positions (GGA-PBE) gives the calculated X-ray diffraction stick pattern in this record (Cu Kα (weighted mean of Kα1 and Kα2)).

The 8 most intense peaks (10 to 90 degrees two-theta), low angle first:
- 29.90 deg, I = 48, (1 0 3)
- 30.19 deg, I = 100, (3 1 0)
- 35.65 deg, I = 40, (1 2 3)
- 35.84 deg, I = 57, (2 3 1)
- 47.52 deg, I = 18, (4 2 2)
- 49.48 deg, I = 13, (4 1 3)
- 49.66 deg, I = 13, (4 3 1)
- 60.92 deg, I = 13, (2 5 3)

Crystal structure
```
data_Pm8GeSb5
_chemical_formula_sum 'Pm16 Ge2 Sb10'
_cell_length_a 9.358
_cell_length_b 9.358
_cell_length_c 9.459
_cell_angle_alpha 90.00
_cell_angle_beta 90.00
_cell_angle_gamma 90.00
_space_group_name_H-M_alt 'I -4'
_space_group_IT_number 82
_space_group_name_Hall 'I -4'
loop_
_atom_site_label
_atom_site_type_symbol
_atom_site_fract_x
_atom_site_fract_y
_atom_site_fract_z
Pm1 Pm 0.070 0.177 0.300
Pm2 Pm 0.070 0.309 0.948
Ge1 Ge 0.000 0.000 0.000
Sb1 Sb 0.000 0.500 0.250
Sb2 Sb 0.121 0.252 0.623
```

(2)
For Pm5GeSb5, DFT lattice parameters and positions (GGA-PBE) gives the calculated X-ray diffraction stick pattern in this record (Cu Kα (weighted mean of Kα1 and Kα2)).

The 8 most intense peaks (10 to 90 degrees two-theta), low angle first:
- 28.29 deg, I = 92, (4 0 -2)
- 28.64 deg, I = 88, (0 2 0)
- 28.81 deg, I = 84, (2 0 2)
- 40.72 deg, I = 100, (4 2 -2)
- 40.86 deg, I = 32, (6 0 0)
- 41.08 deg, I = 65, (2 2 2)
- 50.59 deg, I = 35, (2 2 -4)
- 50.66 deg, I = 35, (6 2 0)

Crystal structure
```
data_Pm5GeSb5
_chemical_formula_sum 'Pm10 Ge2 Sb10'
_cell_length_a 14.047
_cell_length_b 6.233
_cell_length_c 8.853
_cell_angle_alpha 90.00
_cell_angle_beta 109.39
_cell_angle_gamma 90.00
_space_group_name_H-M_alt 'C 1 2/m 1'
_space_group_IT_number 12
_space_group_name_Hall '-C 2y'
loop_
_atom_site_label
_atom_site_type_symbol
_atom_site_fract_x
_atom_site_fract_y
_atom_site_fract_z
Pm1 Pm 0.000 0.000 0.000
Pm2 Pm 0.165 0.500 0.326
Pm3 Pm 0.165 0.500 0.841
Ge1 Ge 0.000 0.500 0.000
Sb1 Sb 0.000 0.500 0.500
Sb2 Sb 0.156 0.000 0.815
Sb3 Sb 0.171 0.000 0.336
```

(3)
For Pm7Ge2Sb2, DFT lattice parameters and positions (GGA-PBE) gives the calculated X-ray diffraction stick pattern in this record (Cu Kα (weighted mean of Kα1 and Kα2)).

The 8 most intense peaks (10 to 90 degrees two-theta), low angle first:
- 23.27 deg, I = 43, (2 0 1)
- 25.01 deg, I = 57, (2 2 0)
- 29.10 deg, I = 42, (1 1 2)
- 32.06 deg, I = 62, (0 4 0)
- 36.54 deg, I = 100, (2 2 2)
- 37.11 deg, I = 28, (1 3 2)
- 38.96 deg, I = 29, (4 0 0)
- 51.32 deg, I = 25, (4 4 0)

Crystal structure
```
data_Pm7Ge2Sb2
_chemical_formula_sum 'Pm14 Ge4 Sb4'
_cell_length_a 9.246
_cell_length_b 11.166
_cell_length_c 6.800
_cell_angle_alpha 90.00
_cell_angle_beta 90.00
_cell_angle_gamma 90.00
_space_group_name_H-M_alt 'C m m m'
_space_group_IT_number 65
_space_group_name_Hall '-C 2 2'
loop_
_atom_site_label
_atom_site_type_symbol
_atom_site_fract_x
_atom_site_fract_y
_atom_site_fract_z
Pm1 Pm 0.000 0.000 0.000
Pm2 Pm 0.000 0.500 0.246
Pm3 Pm 0.250 0.250 0.264
Ge1 Ge 0.000 0.272 0.000
Sb1 Sb 0.198 0.000 0.500
```

(4)
For Pm4Ge3Sb, DFT lattice parameters and positions (GGA-PBE) gives the calculated X-ray diffraction stick pattern in this record (Cu Kα (weighted mean of Kα1 and Kα2)).

The 8 most intense peaks (10 to 90 degrees two-theta), low angle first:
- 25.19 deg, I = 13, (1 1 1)
- 29.17 deg, I = 100, (2 0 0)
- 41.72 deg, I = 76, (2 2 0)
- 49.36 deg, I = 6, (3 1 1)
- 51.72 deg, I = 27, (2 2 2)
- 60.48 deg, I = 13, (4 0 0)
- 68.54 deg, I = 34, (4 2 0)
- 76.17 deg, I = 25, (4 2 2)

Crystal structure
```
data_Pm4Ge3Sb
_chemical_formula_sum 'Pm4 Ge3 Sb1'
_cell_length_a 6.123
_cell_length_b 6.123
_cell_length_c 6.123
_cell_angle_alpha 90.00
_cell_angle_beta 90.00
_cell_angle_gamma 90.00
_space_group_name_H-M_alt 'P m -3 m'
_space_group_IT_number 221
_space_group_name_Hall '-P 4 2 3'
loop_
_atom_site_label
_atom_site_type_symbol
_atom_site_fract_x
_atom_site_fract_y
_atom_site_fract_z
Pm1 Pm 0.000 0.000 0.000
Pm2 Pm 0.000 0.500 0.500
Ge1 Ge 0.000 0.000 0.500
Sb1 Sb 0.500 0.500 0.500
```

(5)
For Pm6Ge3Se, DFT lattice parameters and positions (GGA-PBE) gives the calculated X-ray diffraction stick pattern in this record (Cu Kα (weighted mean of Kα1 and Kα2)).

The 8 most intense peaks (10 to 90 degrees two-theta), low angle first:
- 27.76 deg, I = 100, (0 1 3)
- 36.33 deg, I = 44, (0 1 6)
- 42.78 deg, I = 37, (1 1 0)
- 47.66 deg, I = 22, (1 0 9)
- 51.78 deg, I = 19, (2 0 3)
- 57.35 deg, I = 12, (2 0 6)
- 69.35 deg, I = 15, (1 2 3)
- 71.87 deg, I = 14, (1 1 12)

Crystal structure
```
data_Pm6Ge3Se
_chemical_formula_sum 'Pm6 Ge3 Se1'
_cell_length_a 4.2271
_cell_length_b 4.2271
_cell_length_c 20.1227
_cell_angle_alpha 90.00
_cell_angle_beta 90.00
_cell_angle_gamma 120.00
_space_group_name_H-M_alt 'P -3 m 1'
_space_group_IT_number 164
_space_group_name_Hall '-P 3 2"'
loop_
_atom_site_label
_atom_site_type_symbol
_atom_site_fract_x
_atom_site_fract_y
_atom_site_fract_z
Pm1 Pm 0.3333 0.6667 0.0810
Pm2 Pm 0.3333 0.6667 0.4107
Pm3 Pm 0.3333 0.6667 0.7528
Ge1 Ge 0.0000 0.0000 0.0000
Ge2 Ge 0.0000 0.0000 0.3229
Se1 Se 0.0000 0.0000 0.5000
```

(6)
For Pm5Ge2Se4, DFT lattice parameters and positions (GGA-PBE) gives the calculated X-ray diffraction stick pattern in this record (Cu Kα (weighted mean of Kα1 and Kα2)).

The 8 most intense peaks (10 to 90 degrees two-theta), low angle first:
- 23.53 deg, I = 50, (1 0 1)
- 27.29 deg, I = 32, (1 0 10)
- 28.03 deg, I = 75, (0 1 11)
- 30.53 deg, I = 46, (0 1 14)
- 41.28 deg, I = 100, (1 1 0)
- 42.33 deg, I = 81, (1 0 25)
- 60.61 deg, I = 28, (0 2 25)
- 75.98 deg, I = 29, (2 1 25)

Crystal structure
```
data_Pm5Ge2Se4
_chemical_formula_sum 'Pm15 Ge6 Se12'
_cell_length_a 4.3742
_cell_length_b 4.3742
_cell_length_c 64.6176
_cell_angle_alpha 90.00
_cell_angle_beta 90.00
_cell_angle_gamma 120.00
_space_group_name_H-M_alt 'R -3 m'
_space_group_IT_number 166
_space_group_name_Hall '-R 3 2"'
loop_
_atom_site_label
_atom_site_type_symbol
_atom_site_fract_x
_atom_site_fract_y
_atom_site_fract_z
Pm1 Pm 0.0000 0.0000 0.0000
Pm2 Pm 0.0000 0.0000 0.1203
Pm3 Pm 0.0000 0.0000 0.2808
Ge1 Ge 0.0000 0.0000 0.3597
Se1 Se 0.0000 0.0000 0.0779
Se2 Se 0.0000 0.0000 0.1939
```